Theoretical powder diffraction line list
Compound: GdDy2Al2Cd4
Radiation: Cu Kα (λ = 1.5418 Å)
Structure: a structure optimized by DFT (PBE)
No peak broadening, texture or thermal motion is included.

Top 10 peaks for 10 to 90 degrees two-theta, in order of rising 2θ:
d 3.176, 2θ = 28.09°, I 24; d 2.853, 2θ = 31.35°, I 84; d 2.603, 2θ = 34.46°, I 100; d 2.403, 2θ = 37.43°, I 29; d 2.398, 2θ = 37.51°, I 14; d 2.271, 2θ = 39.70°, I 29; d 2.122, 2θ = 42.60°, I 12; d 1.650, 2θ = 55.72°, I 26; d 1.644, 2θ = 55.95°, I 15; d 1.366, 2θ = 68.69°, I 13

Structure:
```
GdDy2Al2Cd4
1.0
4.541 0.000 0.000
0.000 6.363 3.662
0.000 -6.363 3.662
Gd Dy Al Cd
1 2 2 4
direct
0.000 0.000 0.000
0.000 0.143 0.572
0.000 0.572 0.143
0.500 0.239 0.905
0.500 0.905 0.239
0.000 0.570 0.570
0.500 0.319 0.319
0.500 0.572 0.824
0.500 0.824 0.572
```